No. 1
Structure and calculated powder diffraction line list of K3Rb4BaI8 (a crystal structure in Alexandria, relaxed with GGA-PBE; Cu Kα X-rays).
Intensities are scaled so that the largest is 100.

Atomic structure:
```
data_K3Rb4BaI8
_chemical_formula_sum 'K9 Rb12 Ba3 I24'
_cell_length_a 10.4282
_cell_length_b 10.4282
_cell_length_c 25.7040
_cell_angle_alpha 90.00
_cell_angle_beta 90.00
_cell_angle_gamma 120.00
_symmetry_space_group_name_H-M 'R -3 m'
_symmetry_Int_Tables_number 166
_symmetry_space_group_name_Hall '-R 3 2"'
loop_
_atom_site_label
_atom_site_type_symbol
_atom_site_fract_x
_atom_site_fract_y
_atom_site_fract_z
K1 K 0.0000 0.5000 0.0000
Rb1 Rb 0.0000 0.0000 0.5000
Rb2 Rb 0.0000 0.5000 0.5000
Ba1 Ba 0.0000 0.0000 0.0000
I1 I 0.0000 0.0000 0.2540
I2 I 0.0076 0.5038 0.7442
```

Principal peaks in the range 10 to 90 degrees two-theta, in order of rising 2θ:
2theta  I (rel.)
20.9  9
24.1  100
34.3  38
34.4  39
42.4  21
49.3  13
55.5  17
55.7  19
61.6  20
77.7  7

No. 2
Structure and calculated powder diffraction line list of TbUGa2O8 (a crystal structure in Alexandria, relaxed with GGA-PBE; Cu Kα X-rays).
Intensities are scaled so that the largest is 100.

Atomic structure:
```
data_TbUGa2O8
_chemical_formula_sum 'Tb2 U2 Ga4 O16'
_cell_length_a 6.6654
_cell_length_b 6.8325
_cell_length_c 6.7243
_cell_angle_alpha 90.00
_cell_angle_beta 90.00
_cell_angle_gamma 90.00
_symmetry_space_group_name_H-M 'C m m m'
_symmetry_Int_Tables_number 65
_symmetry_space_group_name_Hall '-C 2 2'
loop_
_atom_site_label
_atom_site_type_symbol
_atom_site_fract_x
_atom_site_fract_y
_atom_site_fract_z
Tb1 Tb 0.0000 0.0000 0.0000
U1 U 0.0000 0.0000 0.5000
Ga1 Ga 0.0000 0.5000 0.2504
O1 O 0.0000 0.3079 0.5000
O2 O 0.0000 0.3282 0.0000
O3 O 0.2061 0.0000 0.2681
```

Principal peaks in the range 10 to 90 degrees two-theta, in order of rising 2θ:
2theta  I (rel.)
18.6  42
26.1  58
26.7  52
32.6  100
37.7  27
38.0  18
50.3  41
51.1  36
64.9  22
68.3  11

No. 3
Structure and calculated powder diffraction line list of La4Tm2Th (a crystal structure in Alexandria, relaxed with GGA-PBE; Cu Kα X-rays).
Intensities are scaled so that the largest is 100.

Atomic structure:
```
data_La4Tm2Th
_chemical_formula_sum 'La4 Tm2 Th1'
_cell_length_a 8.2922
_cell_length_b 8.2922
_cell_length_c 3.5473
_cell_angle_alpha 90.00
_cell_angle_beta 90.00
_cell_angle_gamma 90.00
_symmetry_space_group_name_H-M 'P -4 2 m'
_symmetry_Int_Tables_number 111
loop_
_symmetry_equiv_pos_as_xyz
'x,y,z'
'y,-x,-z'
'-x,-y,z'
'-y,x,-z'
'x,-y,-z'
'y,x,z'
'-x,y,-z'
'-y,-x,z'
loop_
_atom_site_label
_atom_site_type_symbol
_atom_site_fract_x
_atom_site_fract_y
_atom_site_fract_z
La1 La 0.2094 0.2094 0.0015
Tm1 Tm 0.0000 0.5000 0.5000
Th1 Th 0.5000 0.5000 0.0000
```

Principal peaks in the range 10 to 90 degrees two-theta, in order of rising 2θ:
2theta  I (rel.)
24.0  45
29.4  81
30.5  100
32.4  32
33.2  58
35.0  34
41.4  33
42.9  36
43.7  28
53.5  30